1.
Structure and theoretical powder X-ray diffraction pattern of GaPb2Au7 (a structure optimized by DFT (PBE); Cu Kα (weighted mean of Kα1 and Kα2)).

Top 10 peaks for 15 to 90 degrees two-theta, sorted by position:
2θ (°)	I_rel
29.75	39
34.49	100
39.83	57
41.50	29
45.69	47
55.48	14
62.20	31
66.61	16
72.70	15
77.18	41

Crystal structure
Unit cell a=3.971 b=3.971 c=13.773 alpha=90.00 beta=90.00 gamma=90.00
Fractional positions:
Ga 0.000 0.000 0.000
Pb 0.000 0.500 0.750
Pb 0.500 0.000 0.250
Au 0.000 0.000 0.500
Au 0.000 0.500 0.146
Au 0.000 0.500 0.348
Au 0.500 0.000 0.652
Au 0.500 0.000 0.854
Au 0.500 0.500 0.000
Au 0.500 0.500 0.500


2.
Structure and theoretical powder X-ray diffraction pattern of Ga7Pb2Au12 (a structure optimized by DFT (PBE); Cu Kα (weighted mean of Kα1 and Kα2)).

Top 10 peaks for 15 to 90 degrees two-theta, sorted by position:
2θ (°)	I_rel
31.10	23
31.78	25
32.66	31
32.93	22
33.96	100
40.94	18
41.64	41
42.04	24
44.19	21
44.60	22

Crystal structure
Unit cell a=4.372 b=10.310 c=10.480 alpha=63.24 beta=83.23 gamma=87.33
Fractional positions:
Ga 0.000 0.000 0.000
Ga 0.179 0.705 0.934
Ga 0.181 0.408 0.712
Ga 0.281 0.907 0.406
Ga 0.719 0.093 0.594
Ga 0.819 0.592 0.288
Ga 0.821 0.295 0.066
Pb 0.284 0.315 0.344
Pb 0.716 0.685 0.656
Au 0.195 0.152 0.712
Au 0.206 0.902 0.655
Au 0.276 0.618 0.451
Au 0.315 0.457 0.922
Au 0.326 0.116 0.136
Au 0.342 0.769 0.141
Au 0.658 0.231 0.859
Au 0.674 0.884 0.864
Au 0.685 0.543 0.078
Au 0.724 0.382 0.549
Au 0.794 0.098 0.345
Au 0.805 0.848 0.288


3.
Structure and theoretical powder X-ray diffraction pattern of Ga2Pb4Au5 (a structure optimized by DFT (PBE); Cu Kα (weighted mean of Kα1 and Kα2)).

Top 10 peaks for 15 to 90 degrees two-theta, sorted by position:
2θ (°)	I_rel
31.17	46
32.17	25
33.87	68
34.21	100
34.35	44
34.61	33
35.71	36
36.80	25
41.63	26
57.45	31

Crystal structure
Unit cell a=10.913 b=10.913 c=10.913 alpha=129.54 beta=60.11 gamma=149.51
Fractional positions:
Ga 0.049 0.250 0.799
Ga 0.451 0.250 0.201
Ga 0.549 0.750 0.799
Ga 0.951 0.750 0.201
Pb 0.060 0.230 0.291
Pb 0.141 0.609 0.750
Pb 0.359 0.109 0.467
Pb 0.440 0.730 0.170
Pb 0.560 0.270 0.830
Pb 0.641 0.891 0.533
Pb 0.859 0.391 0.250
Pb 0.940 0.770 0.709
Au 0.084 0.912 0.997
Au 0.223 0.294 0.517
Au 0.250 0.750 0.500
Au 0.277 0.794 0.071
Au 0.416 0.412 0.828
Au 0.584 0.588 0.172
Au 0.723 0.206 0.929
Au 0.750 0.250 0.500
Au 0.777 0.706 0.483
Au 0.916 0.088 0.003


Number 1 is which compound? GaPb2Au7